The following is a simulated X-ray powder pattern of Cr3AuO8. It was derived from a crystal structure in the Materials Project, relaxed with GGA+U, using Cu Kα (λ = 1.5418 Å).

Cell and atoms:
Cell lengths 5.2191, 5.2191, 8.3547 Å; angles 99.51, 99.51, 63.87 degrees
Sites, in units of the cell vectors:
Cr (0.0000, 0.0000, 0.0000)
Cr (0.3206, 0.3206, 0.8044)
Cr (0.6794, 0.6794, 0.1956)
Au (0.0000, 0.0000, 0.5000)
O (0.1838, 0.6810, 0.8302)
O (0.2065, 0.2065, 0.9389)
O (0.2195, 0.2195, 0.6132)
O (0.3190, 0.8162, 0.1698)
O (0.6810, 0.1838, 0.8302)
O (0.7805, 0.7805, 0.3868)
O (0.7935, 0.7935, 0.0611)
O (0.8162, 0.3190, 0.1698)

Largest 10 diffraction maxima, by angle, 2θ = 5–70°:
d/Å, I (rel.)
4.660, 74
4.246, 100
3.562, 27
3.321, 42
3.250, 38
2.929, 59
2.761, 27
2.731, 20
2.565, 34
1.646, 20

***

The following is a simulated X-ray powder pattern of Li4Mn3OF8. It was derived from a crystal structure in the Materials Project, relaxed with GGA+U, using Cu Kα (λ = 1.5418 Å).

Cell and atoms:
Cell lengths 5.1949, 10.5076, 10.5833 Å; angles 82.10, 89.58, 88.94 degrees
Sites, in units of the cell vectors:
Li (0.0000, 0.0000, 0.0000)
Li (0.9995, 0.1966, 0.1961)
Li (0.8749, 0.5985, 0.5925)
Li (0.8790, 0.3698, 0.8224)
Li (0.9155, 0.5294, 0.3343)
Li (0.9236, 0.8587, 0.6687)
Li (0.9322, 0.4569, 0.0733)
Li (0.9368, 0.1167, 0.7384)
Li (0.9630, 0.2560, 0.4712)
Li (0.9647, 0.7218, 0.9339)
Li (0.9893, 0.9788, 0.4068)
Li (0.9938, 0.7795, 0.2078)
Mn (0.4020, 0.3770, 0.6001)
Mn (0.4248, 0.6055, 0.7995)
Mn (0.4479, 0.2327, 0.9631)
Mn (0.4485, 0.6503, 0.0996)
Mn (0.4488, 0.3284, 0.3017)
Mn (0.4565, 0.8935, 0.8699)
Mn (0.4671, 0.0808, 0.5246)
Mn (0.4822, 0.7839, 0.4546)
Mn (0.4965, 0.9889, 0.2151)
O (0.6049, 0.2684, 0.4775)
O (0.6088, 0.7130, 0.9253)
O (0.6331, 0.9631, 0.4006)
F (0.1308, 0.8308, 0.0412)
F (0.1316, 0.1472, 0.3609)
F (0.1437, 0.4097, 0.4250)
F (0.1565, 0.7770, 0.7861)
F (0.1571, 0.5687, 0.9723)
F (0.1591, 0.2036, 0.6180)
F (0.1607, 0.6215, 0.2356)
F (0.1784, 0.8708, 0.3116)
F (0.1804, 0.9281, 0.5562)
F (0.1844, 0.3456, 0.1518)
F (0.1885, 0.0443, 0.8513)
F (0.1958, 0.1020, 0.0935)
F (0.2308, 0.5756, 0.6194)
F (0.2386, 0.3604, 0.8201)
F (0.6359, 0.7908, 0.2033)
F (0.6414, 0.0080, 0.0130)
F (0.6427, 0.1910, 0.1832)
F (0.6728, 0.7408, 0.6370)
F (0.6792, 0.4874, 0.2064)
F (0.6856, 0.9899, 0.7050)
F (0.6879, 0.4768, 0.7002)
F (0.6918, 0.3915, 0.9713)
F (0.6992, 0.6156, 0.4360)
F (0.7042, 0.2167, 0.8123)

Largest 10 diffraction maxima, by angle, 2θ = 5–70°:
d/Å, I (rel.)
5.194, 100
3.183, 18
2.718, 26
2.713, 15
2.683, 24
2.344, 22
2.226, 20
2.012, 15
1.731, 12
1.646, 10

***

The following is a simulated X-ray powder pattern of Li3Mn2P3O12. It was derived from a crystal structure in the Materials Project, relaxed with GGA+U, using Cu Kα (λ = 1.5418 Å).

Cell and atoms:
Cell lengths 4.8526, 4.8526, 19.1214 Å; angles 90.28, 90.28, 68.60 degrees
Sites, in units of the cell vectors:
Li (0.9998, 0.9998, 0.1660)
Li (0.0002, 0.0002, 0.8340)
Li (0.3239, 0.3239, 0.9130)
Li (0.3246, 0.3246, 0.2455)
Li (0.6754, 0.6754, 0.7545)
Li (0.6761, 0.6761, 0.0870)
Mn (0.0000, 0.0000, 0.0000)
Mn (0.0000, 0.0000, 0.5000)
Mn (0.0005, 0.0005, 0.6683)
Mn (0.9995, 0.9995, 0.3317)
P (0.3464, 0.3464, 0.4162)
P (0.3480, 0.3480, 0.7498)
P (0.3503, 0.3503, 0.0824)
P (0.6497, 0.6497, 0.9176)
P (0.6520, 0.6520, 0.2502)
P (0.6536, 0.6536, 0.5838)
O (0.2249, 0.6933, 0.4171)
O (0.2319, 0.2319, 0.6844)
O (0.2326, 0.2326, 0.4808)
O (0.2368, 0.2368, 0.0149)
O (0.2388, 0.6949, 0.7449)
O (0.2393, 0.6961, 0.0783)
O (0.2403, 0.2403, 0.3474)
O (0.2475, 0.2475, 0.1485)
O (0.2498, 0.2498, 0.8171)
O (0.3039, 0.7607, 0.9217)
O (0.3051, 0.7612, 0.2551)
O (0.3067, 0.7751, 0.5829)
O (0.6933, 0.2249, 0.4171)
O (0.6949, 0.2388, 0.7449)
O (0.6961, 0.2393, 0.0783)
O (0.7502, 0.7502, 0.1829)
O (0.7525, 0.7525, 0.8515)
O (0.7597, 0.7597, 0.6526)
O (0.7607, 0.3039, 0.9217)
O (0.7612, 0.3051, 0.2551)
O (0.7632, 0.7632, 0.9851)
O (0.7674, 0.7674, 0.5192)
O (0.7681, 0.7681, 0.3156)
O (0.7751, 0.3067, 0.5829)

Largest 10 diffraction maxima, by angle, 2θ = 5–70°:
d/Å, I (rel.)
6.374, 25
3.692, 100
3.384, 51
2.735, 44
2.608, 57
2.600, 56
2.401, 42
2.075, 25
1.445, 21
1.439, 19

***

The following is a simulated X-ray powder pattern of Li2CrFeO4. It was derived from a crystal structure in the Materials Project, relaxed with GGA+U, using Cu Kα (λ = 1.5418 Å).

Cell and atoms:
Cell lengths 5.1540, 2.9743, 5.1673 Å; angles 90.00, 109.51, 90.00 degrees
Sites, in units of the cell vectors:
Li (0.0000, 0.0000, 0.0000)
Li (0.5000, 0.5000, 0.0000)
Cr (0.0000, 0.5000, 0.5000)
Fe (0.5000, 0.0000, 0.5000)
O (0.2411, 0.0000, 0.7264)
O (0.2560, 0.5000, 0.2723)
O (0.7440, 0.5000, 0.7277)
O (0.7589, 0.0000, 0.2736)

Largest 10 diffraction maxima, by angle, 2θ = 5–70°:
d/Å, I (rel.)
4.870, 100
2.539, 14
2.537, 28
2.431, 17
2.105, 81
1.933, 14
1.622, 16
1.490, 22
1.487, 22
1.422, 9

***

The following is a simulated X-ray powder pattern of GdMn2O4. It was derived from a crystal structure in the Materials Project, relaxed with GGA+U, using Cu Kα (λ = 1.5418 Å).

Cell and atoms:
Cell lengths 6.5266, 6.5266, 6.2674 Å; angles 118.23, 118.23, 56.98 degrees
Sites, in units of the cell vectors:
Gd (0.1250, 0.1250, 0.3884)
Gd (0.8750, 0.8750, 0.6116)
Mn (0.0000, 0.5000, 0.0000)
Mn (0.5000, 0.0000, 0.0000)
Mn (0.5000, 0.5000, 0.0000)
Mn (0.5000, 0.5000, 0.5000)
O (0.2502, 0.2502, 0.2203)
O (0.2681, 0.7094, 0.2633)
O (0.2692, 0.2692, 0.7993)
O (0.2906, 0.7319, 0.7367)
O (0.7094, 0.2681, 0.2633)
O (0.7308, 0.7308, 0.2007)
O (0.7319, 0.2906, 0.7367)
O (0.7498, 0.7498, 0.7797)

Largest 10 diffraction maxima, by angle, 2θ = 5–70°:
d/Å, I (rel.)
3.272, 49
3.250, 49
3.134, 21
3.113, 22
2.877, 20
2.860, 58
2.695, 24
2.680, 100
1.636, 25
1.625, 25

***

The following is a simulated X-ray powder pattern of MgScNi2SbO6. It was derived from a crystal structure in the Materials Project, relaxed with GGA+U, using Cu Kα (λ = 1.5418 Å).

Cell and atoms:
Cell lengths 6.1446, 6.1446, 6.1446 Å; angles 51.78, 51.78, 51.78 degrees
Sites, in units of the cell vectors:
Mg (0.0000, 0.0000, 0.0000)
Sc (0.3556, 0.3556, 0.3556)
Ni (0.1779, 0.1779, 0.1779)
Ni (0.6131, 0.6131, 0.6131)
Sb (0.8136, 0.8136, 0.8136)
O (0.0820, 0.7807, 0.3936)
O (0.2603, 0.5690, 0.9686)
O (0.3936, 0.0820, 0.7807)
O (0.5690, 0.9686, 0.2603)
O (0.7807, 0.3936, 0.0820)
O (0.9686, 0.2603, 0.5690)

Largest 10 diffraction maxima, by angle, 2θ = 5–70°:
d/Å, I (rel.)
4.461, 16
4.013, 42
3.023, 36
2.683, 100
2.627, 76
2.394, 26
1.887, 47
1.877, 32
1.549, 36
1.538, 31

***

Which formula does entry 1 have? Cr3AuO8